No. 1
For ZrI2Cl2, the GGA-PBE geometry in OQMD gives the theoretical powder diffractogram in this record (λ = 1.5418 Å (Cu Kα)).
Lines closer than 0.1° are merged.

Structural model:
abc: 6.9246 8.8440 6.3887
angles: 90.00 103.65 90.00
Sites, in units of the cell vectors:
Zr (0.0000, 0.1398, 0.2500)
Zr (0.0000, 0.8602, 0.7500)
I (0.2640, 0.3419, 0.4780)
I (0.2640, 0.6581, 0.9780)
I (0.7360, 0.3419, 0.0220)
I (0.7360, 0.6581, 0.5220)
Cl (0.2047, 0.0897, 0.9798)
Cl (0.2047, 0.9103, 0.4798)
Cl (0.7953, 0.0897, 0.5202)
Cl (0.7953, 0.9103, 0.0202)

Peak list (8 most intense, 2θ = 5–70°, in order of rising 2θ)
| Position (°2θ) | I (rel.) |
| --- | --- |
| 19.76 | 100.0 |
| 26.45 | 54.4 |
| 28.73 | 28.3 |
| 29.69 | 94.1 |
| 34.38 | 32.6 |
| 40.69 | 29.9 |
| 42.28 | 23.6 |
| 44.57 | 27.2 |

=====

No. 2
For LiTaIn2Cl6, the GGA-PBE geometry in OQMD gives the theoretical powder diffractogram in this record (λ = 1.5418 Å (Cu Kα)).
Lines closer than 0.1° are merged.

Structural model:
abc: 7.0332 7.0230 12.2054
angles: 90.00 125.05 90.00
Sites, in units of the cell vectors:
Li (0.0000, 0.0000, 0.0000)
Li (0.0000, 0.5000, 0.5000)
Ta (0.5000, 0.0000, 0.5000)
Ta (0.5000, 0.5000, 0.0000)
In (0.2575, 0.0414, 0.7500)
In (0.2575, 0.4586, 0.2500)
In (0.7425, 0.5414, 0.7500)
In (0.7425, 0.9586, 0.2500)
Cl (0.2041, 0.5052, 0.7555)
Cl (0.2041, 0.9948, 0.2555)
Cl (0.2465, 0.7110, 0.0258)
Cl (0.2465, 0.7890, 0.5258)
Cl (0.3135, 0.2209, 0.0246)
Cl (0.3135, 0.2791, 0.5246)
Cl (0.6865, 0.7209, 0.4754)
Cl (0.6865, 0.7791, 0.9754)
Cl (0.7535, 0.2110, 0.4742)
Cl (0.7535, 0.2890, 0.9742)
Cl (0.7959, 0.0052, 0.7445)
Cl (0.7959, 0.4948, 0.2445)

Peak list (8 most intense, 2θ = 5–70°, in order of rising 2θ)
| Position (°2θ) | I (rel.) |
| --- | --- |
| 15.41 | 73.3 |
| 25.29 | 100.0 |
| 29.81 | 30.2 |
| 31.11 | 21.8 |
| 35.95 | 26.1 |
| 36.15 | 44.3 |
| 44.58 | 23.4 |
| 51.90 | 27.5 |

=====

No. 3
For NbInCl8, the GGA-PBE geometry in OQMD gives the theoretical powder diffractogram in this record (λ = 1.5418 Å (Cu Kα)).
Lines closer than 0.1° are merged.

Structural model:
abc: 9.6795 9.6795 8.2573
angles: 90.00 90.00 130.48
Sites, in units of the cell vectors:
Nb (0.1086, 0.8914, 0.7500)
Nb (0.8914, 0.1086, 0.2500)
In (0.3215, 0.6785, 0.7500)
In (0.6785, 0.3215, 0.2500)
Cl (0.0062, 0.5611, 0.7500)
Cl (0.1314, 0.8686, 0.0273)
Cl (0.1314, 0.8686, 0.4727)
Cl (0.1874, 0.2397, 0.2500)
Cl (0.2397, 0.1874, 0.7500)
Cl (0.3913, 0.6087, 0.5102)
Cl (0.3913, 0.6087, 0.9898)
Cl (0.4389, 0.9938, 0.7500)
Cl (0.5611, 0.0062, 0.2500)
Cl (0.6087, 0.3913, 0.0102)
Cl (0.6087, 0.3913, 0.4898)
Cl (0.7603, 0.8126, 0.2500)
Cl (0.8126, 0.7603, 0.7500)
Cl (0.8686, 0.1314, 0.5273)
Cl (0.8686, 0.1314, 0.9727)
Cl (0.9938, 0.4389, 0.2500)

Peak list (8 most intense, 2θ = 5–70°, in order of rising 2θ)
| Position (°2θ) | I (rel.) |
| --- | --- |
| 16.13 | 100.0 |
| 21.53 | 23.2 |
| 21.93 | 19.9 |
| 29.99 | 44.3 |
| 34.80 | 18.7 |
| 35.31 | 22.1 |
| 39.49 | 15.8 |
| 47.84 | 16.2 |

=====

No. 4
For NbTl2InCl6, the GGA-PBE geometry in OQMD gives the theoretical powder diffractogram in this record (λ = 1.5418 Å (Cu Kα)).
Lines closer than 0.1° are merged.

Structural model:
abc: 7.6529 7.6529 7.6529
angles: 121.84 121.84 86.84
Sites, in units of the cell vectors:
Nb (0.0000, 0.0000, 0.0000)
Tl (0.2500, 0.7500, 0.5000)
Tl (0.7500, 0.2500, 0.5000)
In (0.5000, 0.5000, 0.0000)
Cl (0.1386, 0.3040, 0.4426)
Cl (0.2260, 0.2260, 0.0000)
Cl (0.3040, 0.8614, 0.1654)
Cl (0.6960, 0.1386, 0.8346)
Cl (0.7740, 0.7740, 0.0000)
Cl (0.8614, 0.6960, 0.5574)

Peak list (8 most intense, 2θ = 5–70°, in order of rising 2θ)
| Position (°2θ) | I (rel.) |
| --- | --- |
| 23.28 | 100.0 |
| 23.93 | 69.4 |
| 28.88 | 24.0 |
| 32.21 | 28.7 |
| 34.09 | 36.6 |
| 40.52 | 33.6 |
| 41.69 | 62.7 |
| 47.60 | 27.3 |